# 1
Theoretical powder X-ray diffraction pattern of Na5Mn2P2C2O14 for Cu Ka, from a PBE+U-relaxed structure.

Principal peaks in the range 15 to 90 degrees two-theta, by angle:
2θ (°)  I_rel
16.52  36
19.41  32
19.62  26
25.81  39
26.76  93
29.54  22
33.28  88
33.49  42
34.08  100
41.78  35
48.49  25
55.14  31

Atomic structure:
```
Na5Mn2P2C2O14
1.0
8.4686 0.0000 0.0000
-1.9750 8.2786 0.0000
-0.1025 -0.0572 9.0571
Na Mn P C O
10 4 4 4 28
Cartesian
0.0000 0.0000 0.0000
-1.0337 4.2359 4.4921
0.3083 3.0576 7.5724
1.5231 1.9149 4.5160
0.7032 6.2192 0.0510
4.0875 -0.0192 4.4990
3.4468 7.0631 7.5623
4.4862 3.2123 6.1590
5.8872 2.1379 0.0886
4.9724 6.3116 4.4736
2.8427 1.0193 0.9359
2.0221 5.3058 3.5349
5.9991 5.0758 0.9484
7.1923 1.1733 3.5951
-0.8199 7.0569 2.9528
0.4552 3.3383 1.5762
4.3486 2.9363 3.0222
3.7104 7.5084 1.5104
1.7823 5.0955 6.1513
2.9663 1.1452 7.4068
7.0309 0.9548 6.2661
6.1813 5.2228 7.3981
-0.7199 3.8195 0.6771
-1.5392 8.1203 3.8064
-0.0073 2.7942 2.9436
-0.3873 7.6149 1.5784
1.1819 2.2604 0.7215
0.4228 6.5352 3.7567
1.1454 4.1939 5.4677
2.1933 0.3094 8.0691
1.4005 4.5702 1.8324
1.7602 5.1616 7.4196
2.9802 1.1860 6.1247
3.3902 1.7096 2.7743
2.5175 5.9602 5.4522
3.6998 1.9401 8.1199
2.4576 7.9048 0.6689
3.5591 4.0242 3.8400
3.3117 6.9290 2.8957
4.8657 3.4649 1.6870
4.4995 6.4942 0.6397
5.4856 2.4882 3.9806
6.3827 0.1152 5.4973
5.5048 4.3028 8.0649
6.5777 0.4923 1.7191
6.9305 0.8807 7.5494
6.1230 5.1966 6.1125
6.6698 5.8383 2.7411
7.7617 1.8800 5.7037
6.8355 6.0882 8.0950
```

---

# 2
Theoretical powder X-ray diffraction pattern of NaMnPCO7 for Cu Ka, from a PBE+U-relaxed structure.

Principal peaks in the range 15 to 90 degrees two-theta, by angle:
2θ (°)  I_rel
17.00  66
17.45  60
19.15  61
19.91  68
22.05  49
24.69  40
25.45  83
26.60  33
28.47  100
34.08  47
34.39  27
44.78  29

Atomic structure:
```
NaMnPCO7
1.0
8.1777 0.0000 0.0000
-1.4193 8.0798 0.0000
-2.9380 -3.8947 9.0158
Na Mn P C O
4 4 4 4 28
Cartesian
0.0000 0.0000 0.0000
-1.3028 -1.9598 4.7799
-0.3236 4.0911 4.7824
3.4360 4.0836 0.0187
-0.9613 0.9013 3.7887
3.2775 1.0790 0.9950
2.4184 4.9430 3.7895
6.6539 5.1017 0.9017
0.6765 2.8876 1.7634
1.5930 -0.9127 2.9474
4.0529 6.9300 1.7654
5.0072 3.1694 3.0000
-0.6795 1.1624 6.1870
-0.0106 -3.0340 7.6298
2.6505 5.2578 6.1855
3.3697 0.9952 7.5193
-1.4551 0.2600 5.6190
-0.2293 1.6871 2.1668
-0.0764 3.8602 0.8373
-0.4223 6.5492 1.6732
-1.6554 4.9384 6.4107
0.4624 -0.4122 3.8980
-1.9992 4.2895 8.5510
-0.0827 1.8938 5.2520
1.8196 2.3712 0.8438
-0.5228 1.3190 7.3930
1.2225 3.5607 3.0343
0.8729 6.1105 3.8442
2.5410 0.2403 2.5518
0.8058 -2.1652 8.1705
1.8668 4.3589 5.6224
3.1249 5.7467 2.1688
4.7338 -0.1310 0.8748
4.3919 2.5300 1.7444
3.1655 0.8925 6.3200
3.9432 3.7738 3.9530
2.7987 0.2341 8.4586
4.6493 -2.0813 5.2462
5.1518 6.3847 0.8100
4.2670 -2.6925 7.3890
6.0627 -0.5128 3.0342
5.7991 2.1955 3.8974
4.1777 1.8742 8.0974
5.9672 4.3336 2.5819
```

---

# 3
Theoretical powder X-ray diffraction pattern of Na5Mn2P2C2O14 for Cu Ka, from a PBE+U-relaxed structure.

Principal peaks in the range 15 to 90 degrees two-theta, by angle:
2θ (°)  I_rel
16.39  16
19.32  38
19.57  28
25.70  29
26.90  88
29.59  22
33.14  39
33.48  21
33.92  100
41.73  16
45.25  17
55.44  23

Atomic structure:
```
Na5Mn2P2C2O14
1.0
6.6306 0.0000 0.0000
0.2161 10.4317 0.0000
0.1890 5.2123 9.1892
Na Mn P C O
10 4 4 4 28
Cartesian
0.0000 0.0000 0.0000
6.8328 7.8229 4.5932
0.3357 10.2408 9.0971
0.3515 12.8509 4.5025
1.9565 5.1537 2.8618
2.1583 12.9735 7.4588
3.3916 0.0331 0.0150
3.5946 7.8546 4.6103
5.0602 4.9966 6.0945
5.0734 7.6055 1.4997
1.8868 7.1843 7.4362
1.9016 9.7935 2.8401
5.1784 10.9541 6.2413
4.9772 3.1299 1.6526
1.6860 2.3649 1.6826
1.8875 10.1864 6.2772
5.2285 7.8875 7.3986
5.2434 10.4951 2.8030
1.8069 5.0562 5.8591
1.8214 7.6656 1.2627
5.1689 5.2701 3.2488
5.3715 13.0932 7.8428
0.4778 3.3459 1.7713
0.6794 11.1670 6.3654
1.6323 3.9490 5.2690
1.6459 6.5598 0.6701
1.7664 9.1594 7.4500
1.7807 11.7695 2.8548
1.6980 1.5668 0.3531
1.9007 9.3877 4.9481
1.8996 5.0925 7.1862
1.9145 7.6993 2.5897
1.9107 6.1959 5.2298
1.9258 8.8064 0.6355
2.9422 3.2500 1.8557
3.1433 11.0718 6.4507
3.9682 6.9595 7.2806
3.9838 9.5663 2.6881
5.0629 5.2592 1.9401
5.2653 13.0821 6.5338
5.0243 1.0465 1.5779
5.2268 8.8708 6.1734
5.1915 6.4129 3.8692
5.3941 14.2360 8.4624
5.3003 8.6473 8.7171
5.3154 11.2586 4.1200
5.2184 4.1490 3.8750
5.4210 11.9724 8.4693
6.4320 6.8912 7.2181
6.4470 9.4994 2.6239
```

---

# 4
Theoretical powder X-ray diffraction pattern of NaMnPCO7 for Cu Ka, from a PBE+U-relaxed structure.

Principal peaks in the range 15 to 90 degrees two-theta, by angle:
2θ (°)  I_rel
17.19  100
19.29  53
19.95  57
22.13  44
24.52  47
25.56  70
26.56  27
28.43  91
30.17  29
34.33  42
37.85  33
56.76  27

Atomic structure:
```
NaMnPCO7
1.0
5.2289 -6.2797 0.0000
5.2289 6.2797 0.0000
-4.8822 0.0000 9.0403
Na Mn P C O
4 4 4 4 28
Cartesian
5.2289 4.7235 0.0000
2.7828 1.8094 4.6961
2.7828 -1.8094 4.6961
5.2289 -4.7235 0.0000
2.8393 3.1439 0.9829
-0.0951 0.0000 3.9088
2.8393 -3.1439 0.9829
5.2644 0.0000 3.7712
2.4767 0.0000 1.7728
5.5183 3.1565 3.0266
7.7870 0.0000 1.7954
5.5183 -3.1565 3.0266
0.3713 0.0000 6.3161
2.8277 3.1485 7.6200
5.5778 0.0000 6.1761
2.8277 -3.1485 7.6200
-1.2199 3.1619 8.2042
0.0558 1.9343 3.9886
1.8033 3.1501 2.6463
0.9555 0.0000 2.1408
2.7682 1.2229 0.8688
-0.8175 0.0000 5.7565
4.6733 3.2177 1.7426
2.6242 3.1939 6.4078
0.0558 -1.9343 3.9886
1.8722 3.1320 8.5414
1.3212 0.0000 5.3575
2.7682 -1.2229 0.8688
0.6038 0.0000 7.5203
3.3189 0.0000 3.0755
5.1347 1.9224 3.8916
-1.2199 -3.1619 8.2042
1.8033 -3.1501 2.6463
4.3915 0.0000 5.5897
6.2757 0.0000 2.1518
8.1468 1.2045 0.8709
4.6733 -3.2177 1.7426
2.6242 -3.1939 6.4078
5.1347 -1.9224 3.8916
1.8722 -3.1320 8.5414
6.5380 0.0000 5.2849
8.1468 -1.2045 0.8709
5.7494 0.0000 7.4086
8.6046 0.0000 3.0892
```

---

# 5
Theoretical powder X-ray diffraction pattern of Na2MnPCO7 for Cu Ka, from a PBE+U-relaxed structure.

Principal peaks in the range 15 to 90 degrees two-theta, by angle:
2θ (°)  I_rel
16.48  40
16.65  40
19.58  33
21.68  37
26.01  70
26.71  100
33.30  52
33.40  44
33.68  46
34.35  28
34.54  76
55.02  34

Atomic structure:
```
Na2MnPCO7
1.0
5.1945 0.0000 0.0000
-0.0158 6.6763 0.0000
-0.3789 -0.1934 17.8977
Na Mn P C O
8 4 4 4 28
Cartesian
0.0000 0.0000 0.0000
-0.1888 -0.0894 9.0102
5.1847 3.2275 0.0043
-0.0593 4.7333 5.9874
2.2263 6.4238 13.5887
2.2484 3.1897 13.5844
2.4580 6.5329 4.4799
4.9846 3.0930 9.0060
-0.1417 1.4824 12.5738
0.0869 1.6502 3.6830
2.3895 4.9539 0.9741
2.2092 4.8301 9.9562
2.7264 1.6039 1.6235
2.5777 1.4929 10.5671
4.6697 4.8219 11.9579
4.8594 4.9377 2.9863
2.3279 4.7686 16.4057
2.5400 4.8896 7.3778
4.7247 1.4539 15.0556
4.9477 1.5237 6.1010
-0.0475 3.6944 3.8432
0.0081 6.1421 3.9034
-0.1512 3.5632 12.7670
-0.1508 6.0766 12.7719
0.1589 4.8285 10.5638
0.4408 4.9503 1.6505
0.6779 1.4730 14.3747
0.9259 1.5736 5.5000
1.1750 4.7508 17.0656
1.3998 4.8456 8.0673
1.9090 1.5400 2.9354
1.8548 1.4860 11.9334
2.4081 2.8681 0.8000
2.2342 0.2324 9.7377
2.2302 2.7564 9.7430
2.4364 0.3667 0.7423
2.5317 4.9689 6.1209
2.3814 4.7981 15.1531
3.0968 4.8245 11.7268
3.3328 5.0190 2.6383
3.3638 4.7546 17.1983
3.6240 4.8435 8.1005
3.6854 1.4653 14.2680
3.9512 1.5399 5.2524
4.2638 1.5989 1.9835
4.1411 1.4926 10.8293
4.8204 1.4903 7.3546
4.6971 1.4274 16.3011
```